Starting from a cell relaxed with GGA+U, the XRD peak list of Nb3VP6O24 was computed for Cu Kα (λ = 1.5418 Å).
Neutral-atom scattering factors, no anomalous dispersion.

Structural model:
Lattice parameters (Å, degrees): 9.0483 9.0483 9.0483 58.01 58.01 58.01
Fractional positions:
Nb  0.0000  0.0000  0.0000
Nb  0.2162  0.2162  0.2162
Nb  0.7171  0.7171  0.7171
V  0.5007  0.5007  0.5007
P  0.1130  0.8214  0.3912
P  0.3265  0.6080  0.8844
P  0.3912  0.1130  0.8214
P  0.6080  0.8844  0.3265
P  0.8214  0.3912  0.1130
P  0.8844  0.3265  0.6080
O  0.0609  0.3010  0.4323
O  0.0731  0.8603  0.2247
O  0.1278  0.9988  0.3627
O  0.1491  0.7753  0.9304
O  0.2247  0.0731  0.8603
O  0.2825  0.6517  0.4122
O  0.3010  0.4323  0.0609
O  0.3448  0.5937  0.7169
O  0.3627  0.1278  0.9988
O  0.4122  0.2825  0.6517
O  0.4323  0.0609  0.3010
O  0.4946  0.6349  0.8599
O  0.5666  0.9363  0.7945
O  0.5937  0.7169  0.3448
O  0.6349  0.8599  0.4946
O  0.6517  0.4122  0.2825
O  0.7169  0.3448  0.5937
O  0.7753  0.9304  0.1491
O  0.7945  0.5666  0.9363
O  0.8603  0.2247  0.0731
O  0.8599  0.4946  0.6349
O  0.9304  0.1491  0.7753
O  0.9363  0.7945  0.5666
O  0.9988  0.3627  0.1278

Peak list (10 most intense, 2θ = 10–90°, sorted by position)
- 14.07 deg, rel. 60
- 19.64 deg, rel. 100
- 20.24 deg, rel. 64
- 23.49 deg, rel. 88
- 28.35 deg, rel. 70
- 31.39 deg, rel. 61
- 35.08 deg, rel. 25
- 35.44 deg, rel. 24
- 51.62 deg, rel. 22
- 55.41 deg, rel. 21